Ca4MoN5: computed powder diffraction line list (CuKα), based on a GGA-PBE-relaxed structure.
Intensities are scaled so that the largest is 100.

The 8 most intense peaks (2θ from 10° to 90°), sorted by position:
Position (°2θ)  I_rel
16.73  26
21.10  35
31.97  100
35.28  40
37.96  73
52.79  43
54.77  23
64.84  29

Cell and atoms:
```
data_Ca4MoN5
_chemical_formula_sum 'Ca8 Mo2 N10'
_symmetry_space_group_name_H-M 'I 4'
_symmetry_Int_Tables_number 79
_cell_length_a 7.495
_cell_length_b 7.495
_cell_length_c 5.088
_cell_angle_alpha 90.00
_cell_angle_beta 90.00
_cell_angle_gamma 90.00
loop_
_symmetry_equiv_pos_as_xyz
'x,y,z'
'-y,x,z'
'-x,-y,z'
'y,-x,z'
'x+1/2,y+1/2,z+1/2'
'-y+1/2,x+1/2,z+1/2'
'-x+1/2,-y+1/2,z+1/2'
'y+1/2,-x+1/2,z+1/2'
loop_
_atom_site_label
_atom_site_type_symbol
_atom_site_fract_x
_atom_site_fract_y
_atom_site_fract_z
Ca1 Ca 0.103 0.299 0.000
Mo1 Mo 0.000 0.000 0.441
N1 N 0.000 0.000 0.082
N2 N 0.084 0.259 0.507
```

Sm3HgRh8: computed powder diffraction line list (CuKα), based on a GGA-PBE-relaxed structure.
Intensities are scaled so that the largest is 100.

The 8 most intense peaks (2θ from 10° to 90°), sorted by position:
Position (°2θ)  I_rel
33.48  44
36.39  82
39.47  100
40.25  75
61.76  34
63.88  28
67.00  28
70.35  27

Cell and atoms:
```
data_Sm3HgRh8
_chemical_formula_sum 'Sm3 Hg1 Rh8'
_symmetry_space_group_name_H-M 'P 3 m 1'
_symmetry_Int_Tables_number 156
_cell_length_a 5.3527
_cell_length_b 5.3527
_cell_length_c 8.7521
_cell_angle_alpha 90.00
_cell_angle_beta 90.00
_cell_angle_gamma 120.00
loop_
_symmetry_equiv_pos_as_xyz
'x,y,z'
'-y,x-y,z'
'-x+y,-x,z'
'-y,-x,z'
'-x+y,y,z'
'x,x-y,z'
loop_
_atom_site_label
_atom_site_type_symbol
_atom_site_fract_x
_atom_site_fract_y
_atom_site_fract_z
Sm1 Sm 0.0000 0.0000 0.0000
Sm2 Sm 0.0000 0.0000 0.3773
Sm3 Sm 0.3333 0.6667 0.8422
Hg1 Hg 0.3333 0.6667 0.4797
Rh1 Rh 0.0052 0.5026 0.1790
Rh2 Rh 0.3318 0.1659 0.6789
Rh3 Rh 0.6667 0.3333 0.4304
Rh4 Rh 0.6667 0.3333 0.9333
```

KGaBr2: computed powder diffraction line list (CuKα), based on a GGA-PBE-relaxed structure.
Intensities are scaled so that the largest is 100.

The 8 most intense peaks (2θ from 10° to 90°), sorted by position:
Position (°2θ)  I_rel
27.35  100
38.97  38
39.17  36
48.26  20
56.44  12
63.69  17
63.97  16
70.71  12

Cell and atoms:
```
data_KGaBr2
_chemical_formula_sum 'K3 Ga3 Br6'
_symmetry_space_group_name_H-M 'P 32 2 1'
_symmetry_Int_Tables_number 154
_cell_length_a 4.6229
_cell_length_b 4.6229
_cell_length_c 22.4809
_cell_angle_alpha 90.00
_cell_angle_beta 90.00
_cell_angle_gamma 120.00
loop_
_symmetry_equiv_pos_as_xyz
'x,y,z'
'-y,x-y,z+2/3'
'-x+y,-x,z+1/3'
'y,x,-z'
'x-y,-y,-z+1/3'
'-x,-x+y,-z+2/3'
loop_
_atom_site_label
_atom_site_type_symbol
_atom_site_fract_x
_atom_site_fract_y
_atom_site_fract_z
K1 K 0.0000 0.3341 0.3333
Ga1 Ga 0.0000 0.3336 0.8333
Br1 Br 0.0015 0.3346 0.5789
```

KCd5Au3: computed powder diffraction line list (CuKα), based on a GGA-PBE-relaxed structure.
Intensities are scaled so that the largest is 100.

The 8 most intense peaks (2θ from 10° to 90°), sorted by position:
Position (°2θ)  I_rel
12.82  72
13.37  55
29.82  65
33.44  46
38.36  100
38.89  91
40.74  69
40.87  58

Cell and atoms:
```
data_KCd5Au3
_chemical_formula_sum 'K4 Cd20 Au12'
_symmetry_space_group_name_H-M 'C m c m'
_symmetry_Int_Tables_number 63
_symmetry_space_group_name_Hall '-C 2c 2'
_cell_length_a 4.429
_cell_length_b 15.101
_cell_length_c 13.809
_cell_angle_alpha 90.00
_cell_angle_beta 90.00
_cell_angle_gamma 90.00
loop_
_atom_site_label
_atom_site_type_symbol
_atom_site_fract_x
_atom_site_fract_y
_atom_site_fract_z
K1 K 0.000 0.172 0.250
Cd1 Cd 0.000 0.000 0.000
Cd2 Cd 0.000 0.198 0.559
Cd3 Cd 0.000 0.451 0.146
Au1 Au 0.000 0.125 0.750
Au2 Au 0.000 0.382 0.550
```

NdHg2P2Pt7: computed powder diffraction line list (CuKα), based on a GGA-PBE-relaxed structure.
Intensities are scaled so that the largest is 100.

The 8 most intense peaks (2θ from 10° to 90°), sorted by position:
Position (°2θ)  I_rel
30.60  40
32.13  47
33.89  55
36.65  100
44.51  32
45.19  66
49.32  33
55.56  31

Cell and atoms:
```
data_NdHg2P2Pt7
_chemical_formula_sum 'Nd2 Hg4 P4 Pt14'
_symmetry_space_group_name_H-M 'I 4/m m m'
_symmetry_Int_Tables_number 139
_symmetry_space_group_name_Hall '-I 4 2'
_cell_length_a 4.013
_cell_length_b 4.013
_cell_length_c 29.211
_cell_angle_alpha 90.00
_cell_angle_beta 90.00
_cell_angle_gamma 90.00
loop_
_atom_site_label
_atom_site_type_symbol
_atom_site_fract_x
_atom_site_fract_y
_atom_site_fract_z
Nd1 Nd 0.000 0.000 0.000
Hg1 Hg 0.000 0.000 0.206
P1 P 0.000 0.000 0.378
Pt1 Pt 0.000 0.000 0.302
Pt2 Pt 0.000 0.000 0.500
Pt3 Pt 0.000 0.500 0.079
```

LiTm2PaN4: computed powder diffraction line list (CuKα), based on a GGA-PBE-relaxed structure.
Intensities are scaled so that the largest is 100.

The 8 most intense peaks (2θ from 10° to 90°), sorted by position:
Position (°2θ)  I_rel
16.18  49
31.90  49
32.16  98
32.70  46
36.50  100
39.11  41
54.04  32
62.67  31

Cell and atoms:
```
data_LiTm2PaN4
_chemical_formula_sum 'Li1 Tm2 Pa1 N4'
_symmetry_space_group_name_H-M 'P 1 2/m 1'
_symmetry_Int_Tables_number 10
_cell_length_a 5.698
_cell_length_b 3.493
_cell_length_c 5.838
_cell_angle_alpha 90.00
_cell_angle_beta 106.03
_cell_angle_gamma 90.00
loop_
_symmetry_equiv_pos_as_xyz
'x,y,z'
'-x,-y,-z'
'-x,y,-z'
'x,-y,z'
loop_
_atom_site_label
_atom_site_type_symbol
_atom_site_fract_x
_atom_site_fract_y
_atom_site_fract_z
Li1 Li 0.000 0.000 0.000
Tm1 Tm 0.000 0.500 0.500
Tm2 Tm 0.500 0.000 0.500
Pa1 Pa 0.500 0.500 0.000
N1 N 0.250 0.000 0.750
N2 N 0.289 0.500 0.259
```

Copy entry 5 word for word.
NdHg2P2Pt7: computed powder diffraction line list (CuKα), based on a GGA-PBE-relaxed structure.
Intensities are scaled so that the largest is 100.

The 8 most intense peaks (2θ from 10° to 90°), sorted by position:
Position (°2θ)  I_rel
30.60  40
32.13  47
33.89  55
36.65  100
44.51  32
45.19  66
49.32  33
55.56  31

Cell and atoms:
```
data_NdHg2P2Pt7
_chemical_formula_sum 'Nd2 Hg4 P4 Pt14'
_symmetry_space_group_name_H-M 'I 4/m m m'
_symmetry_Int_Tables_number 139
_symmetry_space_group_name_Hall '-I 4 2'
_cell_length_a 4.013
_cell_length_b 4.013
_cell_length_c 29.211
_cell_angle_alpha 90.00
_cell_angle_beta 90.00
_cell_angle_gamma 90.00
loop_
_atom_site_label
_atom_site_type_symbol
_atom_site_fract_x
_atom_site_fract_y
_atom_site_fract_z
Nd1 Nd 0.000 0.000 0.000
Hg1 Hg 0.000 0.000 0.206
P1 P 0.000 0.000 0.378
Pt1 Pt 0.000 0.000 0.302
Pt2 Pt 0.000 0.000 0.500
Pt3 Pt 0.000 0.500 0.079
```